No. 1
# Cr7Se8
Calculated XRD peak list, a wavelength of 1.5418 Å. Input: a structure optimized by DFT (GGA-PBE).

Structure:
```
Cr7Se8
1.0
6.043 -3.746 0.000
6.043 3.746 0.000
-5.952 0.000 6.452
Cr Se
7 8
Cartesian
0.000 0.000 0.000
0.045 1.873 3.226
3.157 0.000 0.055
3.067 1.719 3.226
0.045 -1.873 3.226
3.067 -1.719 3.226
2.977 0.000 6.397
-1.502 1.923 5.359
-1.546 0.000 2.145
1.486 0.000 4.307
7.636 1.923 1.092
-1.502 -1.923 5.359
4.648 0.000 2.145
7.680 0.000 4.307
7.636 -1.923 1.092
```

Most intense lines, 2θ from 10° to 90°, sorted by position:
2theta, Rel. int.
31.24, 100.0
31.43, 80.0
40.67, 74.2
40.99, 54.2
48.61, 31.6
48.83, 63.9

***

No. 2
# Li3Mg4Cd
Calculated XRD peak list, a wavelength of 1.5418 Å. Input: a structure optimized by DFT (GGA-PBE).

Structure:
```
Li3Mg4Cd
1.0
3.451 0.000 0.000
0.000 4.840 0.000
0.000 0.000 9.711
Li Mg Cd
3 4 1
Cartesian
0.000 0.000 0.000
0.000 2.420 2.416
0.000 2.420 7.295
1.725 0.000 2.377
1.725 0.000 7.334
1.725 2.420 0.000
1.725 2.420 4.855
0.000 0.000 4.855
```

Most intense lines, 2θ from 10° to 90°, sorted by position:
2theta, Rel. int.
18.30, 52.1
20.50, 38.8
27.43, 20.3
31.83, 26.7
33.19, 24.7
36.98, 100.0

***

No. 3
# PmTl3Hg3
Calculated XRD peak list, a wavelength of 1.5418 Å. Input: a structure optimized by DFT (GGA-PBE).

Structure:
```
PmTl3Hg3
1.0
8.082 0.000 0.000
0.000 8.082 0.000
0.000 0.000 8.082
Pm Tl Hg
2 6 6
Cartesian
0.000 0.000 0.000
4.041 4.041 4.041
0.000 2.021 4.041
0.000 6.062 4.041
2.021 4.041 0.000
4.041 0.000 2.021
4.041 0.000 6.062
6.062 4.041 0.000
0.000 4.041 2.021
0.000 4.041 6.062
2.021 0.000 4.041
4.041 2.021 0.000
4.041 6.062 0.000
6.062 0.000 4.041
```

Most intense lines, 2θ from 10° to 90°, sorted by position:
2theta, Rel. int.
15.51, 37.7
22.00, 41.2
27.02, 100.0
38.59, 48.9
41.82, 63.3
44.86, 39.4

***

No. 4
# BaPu2Cd2O7
Calculated XRD peak list, a wavelength of 1.5418 Å. Input: a structure optimized by DFT (GGA-PBE).

Structure:
```
BaPu2Cd2O7
1.0
-2.142 2.267 10.163
2.142 -2.267 10.163
2.142 2.267 -10.163
Ba Pu Cd O
1 2 2 7
Cartesian
0.000 0.000 0.000
0.000 0.000 7.995
0.000 0.000 12.331
2.142 0.000 4.609
0.000 2.267 5.553
2.142 0.000 2.154
0.000 0.000 5.622
2.142 0.000 8.200
0.000 0.000 10.163
0.000 2.267 1.963
0.000 0.000 14.703
0.000 2.267 8.009
```

Most intense lines, 2θ from 10° to 90°, sorted by position:
2theta, Rel. int.
24.58, 60.9
29.51, 100.0
30.01, 70.6
33.76, 41.6
39.76, 41.0
52.32, 42.1

***

No. 5
# La6Si7Br3
Calculated XRD peak list, a wavelength of 1.5418 Å. Input: a structure optimized by DFT (GGA-PBE).

Structure:
```
La6Si7Br3
1.0
4.143 0.000 0.000
0.000 16.941 0.000
0.000 0.000 11.934
La Si Br
12 14 6
Cartesian
1.036 0.095 1.704
1.036 2.210 5.183
1.036 4.235 1.696
1.036 6.260 5.183
1.036 8.375 1.704
1.036 12.706 1.869
3.107 4.235 10.065
3.107 8.565 10.229
3.107 10.681 6.751
3.107 12.706 10.238
3.107 14.731 6.751
3.107 16.846 10.229
1.036 2.148 11.163
1.036 6.323 11.163
1.036 10.600 9.009
1.036 10.603 11.429
1.036 12.706 7.802
1.036 14.812 9.009
1.036 14.808 11.429
3.107 2.133 0.505
3.107 2.129 2.925
3.107 4.235 4.132
3.107 6.338 0.505
3.107 6.341 2.925
3.107 10.618 0.771
3.107 14.793 0.771
1.036 4.235 7.616
1.036 9.440 4.678
1.036 15.971 4.678
3.107 0.970 7.256
3.107 7.501 7.256
3.107 12.706 4.317
```

Most intense lines, 2θ from 10° to 90°, sorted by position:
2theta, Rel. int.
22.30, 37.9
22.72, 37.3
31.15, 40.9
33.79, 100.0
37.14, 28.5
43.72, 30.2

***

No. 6
# KAg2Pt
Calculated XRD peak list, a wavelength of 1.5418 Å. Input: a structure optimized by DFT (GGA-PBE).

Structure:
```
KAg2Pt
1.0
5.214 0.000 0.000
0.000 5.214 0.000
0.000 0.000 18.472
K Ag Pt
4 8 4
Cartesian
0.000 0.000 0.000
0.000 2.607 4.618
2.607 0.000 13.854
2.607 2.607 9.236
0.290 1.303 11.545
1.303 2.897 16.163
1.303 4.924 6.927
2.317 1.303 2.309
2.897 3.910 2.309
3.910 0.290 6.927
3.910 2.317 16.163
4.924 3.910 11.545
0.000 0.000 9.236
0.000 2.607 13.854
2.607 0.000 4.618
2.607 2.607 0.000
```

Most intense lines, 2θ from 10° to 90°, sorted by position:
2theta, Rel. int.
17.68, 100.0
26.02, 54.1
38.08, 19.7
39.70, 19.6
41.41, 26.5
53.53, 19.6

***

No. 7
# CeAlPO6
Calculated XRD peak list, a wavelength of 1.5418 Å. Input: a structure optimized by DFT (GGA-PBE).

Structure:
```
CeAlPO6
1.0
4.803 0.000 0.000
-2.402 4.160 0.000
0.000 0.000 4.863
Ce Al P O
1 1 1 6
Cartesian
0.000 0.000 0.000
0.000 2.773 2.432
2.402 1.387 2.432
1.787 0.109 3.421
0.988 1.493 1.442
3.017 0.109 1.442
1.603 2.558 3.421
3.815 1.493 3.421
3.201 2.558 1.442
```

Most intense lines, 2θ from 10° to 90°, sorted by position:
2theta, Rel. int.
21.36, 30.2
28.23, 100.0
37.45, 18.0
47.55, 20.3
53.64, 29.5
62.04, 20.4

***

No. 8
# TbTlSn
Calculated XRD peak list, a wavelength of 1.5418 Å. Input: a structure optimized by DFT (GGA-PBE).

Structure:
```
TbTlSn
1.0
4.718 0.000 0.000
-2.359 4.086 0.000
0.000 0.000 4.421
Tb Tl Sn
1 1 1
Cartesian
0.000 0.000 0.000
2.359 1.362 1.509
0.000 2.724 2.774
```

Most intense lines, 2θ from 10° to 90°, sorted by position:
2theta, Rel. int.
29.78, 100.0
38.15, 51.7
46.72, 29.4
49.13, 25.5
63.85, 23.5
75.03, 14.8